# 1
Computed powder diffraction line list of Y2Tm6Zr for Cu Kα X-rays, from a crystal structure in Alexandria, relaxed with PBE.

Structural model:
```
data_Y2Tm6Zr
_cell_length_a 3.5139
_cell_length_b 3.5139
_cell_length_c 25.4382
_cell_angle_alpha 90.00
_cell_angle_beta 90.00
_cell_angle_gamma 120.00
_space_group_name_H-M_alt 'P -6 m 2'
_space_group_IT_number 187
_space_group_name_Hall 'P -6 2'
loop_
_atom_site_label
_atom_site_fract_x
_atom_site_fract_y
_atom_site_fract_z
Y1 0.0000 0.0000 0.1759
Tm1 0.0000 0.0000 0.3994
Tm2 0.6667 0.3333 0.0654
Tm3 0.6667 0.3333 0.2877
Zr1 0.6667 0.3333 0.5000
```

Peak list (6 most intense, 2θ from 15° to 90°, most intense first)
d/Å	I/Imax	h k l
2.612	100.0	1 0 5
3.043	43.4	1 0 0
2.745	37.9	1 0 4
1.757	31.7	1 1 0
2.826	31.3	0 0 9
1.560	27.3	1 0 14

***

# 2
Computed powder diffraction line list of Tm2Zn7 for Cu Kα X-rays, from a crystal structure in Alexandria, relaxed with PBE.

Structural model:
```
data_Tm2Zn7
_cell_length_a 5.3903
_cell_length_b 5.3903
_cell_length_c 37.6410
_cell_angle_alpha 90.00
_cell_angle_beta 90.00
_cell_angle_gamma 120.00
_space_group_name_H-M_alt 'R -3 m'
_space_group_IT_number 166
_space_group_name_Hall '-R 3 2"'
loop_
_atom_site_label
_atom_site_fract_x
_atom_site_fract_y
_atom_site_fract_z
Tm1 0.0000 0.0000 0.0517
Tm2 0.0000 0.0000 0.1489
Zn1 0.0000 0.0000 0.2784
Zn2 0.0000 0.0000 0.3890
Zn3 0.0000 0.0000 0.5000
Zn4 0.0000 0.5000 0.0000
Zn5 0.0057 0.5029 0.8894
```

Peak list (6 most intense, 2θ from 15° to 90°, most intense first)
d/Å	I/Imax	h k l
2.266	100.0	1 1 9
2.695	44.5	1 1 0
2.330	38.2	0 2 1
2.930	33.6	1 0 10
2.760	25.7	0 1 11
2.091	24.9	0 0 18

***

# 3
Computed powder diffraction line list of Tm3Zn8 for Cu Kα X-rays, from a crystal structure in Alexandria, relaxed with PBE.

Structural model:
```
data_Tm3Zn8
_cell_length_a 3.471
_cell_length_b 4.410
_cell_length_c 26.935
_cell_angle_alpha 90.00
_cell_angle_beta 90.00
_cell_angle_gamma 90.00
_space_group_name_H-M_alt 'I m m m'
_space_group_IT_number 71
_space_group_name_Hall '-I 2 2'
loop_
_atom_site_label
_atom_site_fract_x
_atom_site_fract_y
_atom_site_fract_z
Tm1 0.000 0.000 0.000
Tm2 0.000 0.500 0.144
Zn1 0.000 0.000 0.260
Zn2 0.000 0.000 0.452
Zn3 0.000 0.500 0.313
Zn4 0.000 0.500 0.406
```

Peak list (6 most intense, 2θ from 15° to 90°, most intense first)
d/Å	I/Imax	h k l
2.528	100.0	1 1 4
2.577	53.8	1 0 7
2.141	49.9	0 1 11
2.205	33.7	0 2 0
1.676	29.0	1 2 7
1.348	21.8	2 1 11

***

# 4
Computed powder diffraction line list of TmZn5 for Cu Kα X-rays, from a crystal structure in Alexandria, relaxed with PBE.

Structural model:
```
data_TmZn5
_cell_length_a 8.8598
_cell_length_b 8.8598
_cell_length_c 8.9857
_cell_angle_alpha 90.00
_cell_angle_beta 90.00
_cell_angle_gamma 120.00
_space_group_name_H-M_alt 'P 63/m m c'
_space_group_IT_number 194
_space_group_name_Hall '-P 6c 2c'
loop_
_atom_site_label
_atom_site_fract_x
_atom_site_fract_y
_atom_site_fract_z
Tm1 0.1926 0.3851 0.2500
Zn1 0.0000 0.0000 0.0000
Zn2 0.0000 0.5000 0.0000
Zn3 0.1353 0.5676 0.7500
Zn4 0.1595 0.3190 0.5935
Zn5 0.3333 0.6667 0.0163
```

Peak list (6 most intense, 2θ from 15° to 90°, most intense first)
d/Å	I/Imax	h k l
2.361	100.0	2 0 3
2.215	81.5	2 2 0
2.460	44.0	3 0 1
2.437	22.9	2 1 2
2.917	20.6	2 0 2
2.223	18.5	3 0 2